[1]
Starting from a crystal structure in the Materials Project, relaxed with GGA-PBE, the XRD peak list of NpF4 was computed for Cu Kα, 1.54184 Å.
Peak positions follow from Bragg's law for the DFT cell and can differ from measured ones.

Crystal structure
```
data_NpF4
_chemical_formula_sum 'Np6 F24'
_cell_length_a 8.384
_cell_length_b 8.384
_cell_length_c 8.378
_cell_angle_alpha 117.06
_cell_angle_beta 117.06
_cell_angle_gamma 80.71
_space_group_name_H-M_alt 'P 1'
_space_group_IT_number 1
loop_
_space_group_symop_operation_xyz
'x,y,z'
loop_
_atom_site_label
_atom_site_type_symbol
_atom_site_fract_x
_atom_site_fract_y
_atom_site_fract_z
Np1 Np 0.213 0.787 0.750
Np2 Np 0.223 0.367 0.169
Np3 Np 0.367 0.223 0.669
Np4 Np 0.633 0.777 0.331
Np5 Np 0.777 0.633 0.831
Np6 Np 0.787 0.213 0.250
F1 F 0.000 0.500 0.000
F2 F 0.028 0.726 0.850
F3 F 0.065 0.174 0.456
F4 F 0.174 0.065 0.956
F5 F 0.185 0.598 0.427
F6 F 0.258 0.318 0.895
F7 F 0.260 0.503 0.718
F8 F 0.274 0.972 0.650
F9 F 0.318 0.258 0.395
F10 F 0.396 0.604 0.250
F11 F 0.402 0.815 0.073
F12 F 0.497 0.740 0.782
F13 F 0.500 0.000 0.500
F14 F 0.503 0.260 0.218
F15 F 0.598 0.185 0.927
F16 F 0.604 0.396 0.750
F17 F 0.682 0.742 0.605
F18 F 0.726 0.028 0.350
F19 F 0.740 0.497 0.282
F20 F 0.742 0.682 0.105
F21 F 0.815 0.402 0.573
F22 F 0.826 0.935 0.044
F23 F 0.935 0.826 0.544
F24 F 0.972 0.274 0.150
```

Largest 6 diffraction maxima, by angle, 2θ from 15° to 90°:
two_theta, I/Imax
21.04, 76
21.29, 43
22.54, 63
23.87, 100
24.98, 47
26.86, 52

=====

[2]
Starting from a crystal structure in the Materials Project, relaxed with GGA-PBE, the XRD peak list of CeSb2 was computed for Cu Kα, 1.54184 Å.
Peak positions follow from Bragg's law for the DFT cell and can differ from measured ones.

Crystal structure
```
data_CeSb2
_chemical_formula_sum 'Ce4 Sb8'
_cell_length_a 4.424
_cell_length_b 4.424
_cell_length_c 17.788
_cell_angle_alpha 90.00
_cell_angle_beta 90.00
_cell_angle_gamma 89.10
_space_group_name_H-M_alt 'P 1'
_space_group_IT_number 1
loop_
_space_group_symop_operation_xyz
'x,y,z'
loop_
_atom_site_label
_atom_site_type_symbol
_atom_site_fract_x
_atom_site_fract_y
_atom_site_fract_z
Ce1 Ce 0.137 0.863 0.889
Ce2 Ce 0.363 0.637 0.389
Ce3 Ce 0.637 0.363 0.611
Ce4 Ce 0.863 0.137 0.111
Sb1 Sb 0.128 0.372 0.750
Sb2 Sb 0.138 0.862 0.568
Sb3 Sb 0.362 0.638 0.068
Sb4 Sb 0.372 0.128 0.250
Sb5 Sb 0.628 0.872 0.750
Sb6 Sb 0.638 0.362 0.932
Sb7 Sb 0.862 0.138 0.432
Sb8 Sb 0.872 0.628 0.250
```

Largest 6 diffraction maxima, by angle, 2θ from 15° to 90°:
two_theta, I/Imax
30.11, 91
32.56, 100
34.89, 48
36.49, 24
41.13, 56
55.06, 27

=====

[3]
Starting from a crystal structure in the Materials Project, relaxed with GGA-PBE, the XRD peak list of Y2AlCo3 was computed for Cu Kα, 1.54184 Å.
Peak positions follow from Bragg's law for the DFT cell and can differ from measured ones.

Crystal structure
```
data_Y2AlCo3
_chemical_formula_sum 'Y2 Al1 Co3'
_cell_length_a 4.990
_cell_length_b 4.990
_cell_length_c 4.990
_cell_angle_alpha 64.95
_cell_angle_beta 64.95
_cell_angle_gamma 64.95
_space_group_name_H-M_alt 'P 1'
_space_group_IT_number 1
loop_
_space_group_symop_operation_xyz
'x,y,z'
loop_
_atom_site_label
_atom_site_type_symbol
_atom_site_fract_x
_atom_site_fract_y
_atom_site_fract_z
Y1 Y 0.129 0.129 0.129
Y2 Y 0.871 0.871 0.871
Al1 Al 0.500 0.500 0.500
Co1 Co 0.000 0.500 0.500
Co2 Co 0.500 0.000 0.500
Co3 Co 0.500 0.500 0.000
```

Largest 6 diffraction maxima, by angle, 2θ from 15° to 90°:
two_theta, I/Imax
33.45, 37
36.20, 64
39.59, 87
40.81, 100
41.86, 38
43.16, 34